Simulated PXRD pattern
Compound: FeC8
Radiation: Cu Kα X-rays
Structure: DFT lattice parameters and positions (GGA-PBE)

Structure:
Cell lengths 8.056, 7.240, 4.995 Å; angles 80.08, 62.28, 37.64 degrees
Fractional positions:
1 Fe 0.125 0.125 0.125
2 Fe 0.875 0.875 0.875
3 C 0.081 0.415 0.335
4 C 0.083 0.414 0.833
5 C 0.167 0.831 0.917
6 C 0.169 0.833 0.414
7 C 0.332 0.665 0.585
8 C 0.335 0.668 0.081
9 C 0.414 0.083 0.169
10 C 0.415 0.081 0.668
11 C 0.585 0.919 0.332
12 C 0.586 0.917 0.831
13 C 0.665 0.332 0.919
14 C 0.668 0.335 0.415
15 C 0.831 0.167 0.586
16 C 0.833 0.169 0.083
17 C 0.917 0.586 0.167
18 C 0.919 0.585 0.665

Peak list (6 most intense, 2θ from 10° to 90°, sorted by position)
d (Å), I (rel.)
4.121, 100
3.649, 74
3.128, 51
2.456, 24
2.343, 21
1.824, 74